(1)
# NaLa3Ir
Simulated PXRD pattern, λ = 1.5418 Å (Cu Kα). Input: DFT lattice parameters and positions (PBE).
No peak broadening, texture or thermal motion is included.

Cell and atoms:
abc: 9.4701 7.4066 11.3673
angles: 90.00 122.09 90.00
Positions (direct):
Na1 0.0437 0.2087 0.0260
Na2 0.0437 0.2913 0.5260
Na3 0.9563 0.7087 0.4740
Na4 0.9563 0.7913 0.9740
La1 0.2107 0.5067 0.3159
La2 0.2107 0.9933 0.8159
La3 0.2727 0.0066 0.4273
La4 0.2727 0.4934 0.9273
La5 0.4273 0.6211 0.6972
La6 0.4273 0.8789 0.1972
La7 0.5727 0.1211 0.8028
La8 0.5727 0.3789 0.3028
La9 0.7273 0.5066 0.0727
La10 0.7273 0.9934 0.5727
La11 0.7893 0.0067 0.1841
La12 0.7893 0.4933 0.6841
Ir1 0.4964 0.7082 0.4657
Ir2 0.4964 0.7918 0.9657
Ir3 0.5036 0.2082 0.0343
Ir4 0.5036 0.2918 0.5343

Peak list (10 most intense, 10° ≤ 2θ ≤ 80°, most intense first)
two_theta  d (Å)  Rel. int.
11.0  8.024  100
15.6  5.668  45
32.9  2.721  38
30.8  2.904  29
37.4  2.402  25
31.6  2.832  21
35.8  2.507  15
52.0  1.760  11
26.7  3.342  10
30.3  2.946  10

(2)
# KGe4Br8
Simulated PXRD pattern, λ = 1.5418 Å (Cu Kα). Input: DFT lattice parameters and positions (PBE).
No peak broadening, texture or thermal motion is included.

Cell and atoms:
abc: 8.4870 8.4870 10.6265
angles: 125.92 125.92 60.14
Positions (direct):
K1 0.0000 0.0000 0.0000
Ge1 0.2568 0.2568 0.5123
Ge2 0.2569 0.7431 0.5000
Ge3 0.7431 0.2569 0.5000
Ge4 0.7432 0.7432 0.4877
Br1 0.0054 0.5199 0.6954
Br2 0.0068 0.0068 0.6903
Br3 0.4801 0.9946 0.3046
Br4 0.4839 0.4839 0.3037
Br5 0.5161 0.5161 0.6963
Br6 0.5199 0.0054 0.6954
Br7 0.9932 0.9932 0.3097
Br8 0.9946 0.4801 0.3046

Peak list (10 most intense, 10° ≤ 2θ ≤ 80°, most intense first)
two_theta  d (Å)  Rel. int.
11.3  7.812  100
33.6  2.666  57
26.9  3.317  55
42.6  2.123  48
26.7  3.344  43
33.2  2.700  31
42.3  2.135  22
55.0  1.670  14
52.9  1.732  12
42.9  2.106  11

(3)
# Pa2Be4Ir5
Simulated PXRD pattern, λ = 1.5418 Å (Cu Kα). Input: DFT lattice parameters and positions (PBE).
No peak broadening, texture or thermal motion is included.

Cell and atoms:
abc: 7.7823 6.8025 5.4819
angles: 77.80 58.69 43.51
Positions (direct):
Pa1 0.1281 0.1281 0.8719
Pa2 0.8719 0.8719 0.1281
Be1 0.2168 0.5144 0.4856
Be2 0.4856 0.7832 0.2168
Be3 0.5144 0.2168 0.7832
Be4 0.7832 0.4856 0.5144
Ir1 0.0000 0.0000 0.5000
Ir2 0.2500 0.2500 0.2500
Ir3 0.5000 0.5000 0.0000
Ir4 0.5000 0.5000 0.5000
Ir5 0.7500 0.7500 0.7500

Peak list (10 most intense, 10° ≤ 2θ ≤ 80°, most intense first)
two_theta  d (Å)  Rel. int.
37.3  2.411  100
34.7  2.588  64
28.5  3.137  55
38.2  2.354  46
43.5  2.080  37
72.5  1.303  29
59.3  1.559  28
39.5  2.283  26
40.9  2.204  19
68.5  1.370  18

(4)
# VFePdPt
Simulated PXRD pattern, λ = 1.5418 Å (Cu Kα). Input: DFT lattice parameters and positions (PBE).
No peak broadening, texture or thermal motion is included.

Cell and atoms:
abc: 3.8242 3.8297 7.7012
angles: 90.00 90.00 90.00
Positions (direct):
V1 0.0000 0.0000 0.0000
V2 0.5000 0.5000 0.5000
Fe1 0.0000 0.5000 0.7492
Fe2 0.5000 0.0000 0.2492
Pd1 0.0000 0.0000 0.4995
Pd2 0.5000 0.5000 0.9995
Pt1 0.0000 0.5000 0.2496
Pt2 0.5000 0.0000 0.7496

Peak list (10 most intense, 10° ≤ 2θ ≤ 80°, most intense first)
two_theta  d (Å)  Rel. int.
40.8  2.214  100
26.0  3.427  40
47.5  1.913  32
69.2  1.357  20
47.2  1.925  16
42.4  2.132  11
55.0  1.671  11
69.5  1.353  10
65.6  1.424  7
23.1  3.851  5

(5)
# Li5Cd2In2
Simulated PXRD pattern, λ = 1.5418 Å (Cu Kα). Input: DFT lattice parameters and positions (PBE).
No peak broadening, texture or thermal motion is included.

Cell and atoms:
abc: 8.6559 7.4304 5.5754
angles: 82.11 58.24 39.64
Positions (direct):
Li1 0.0000 0.0000 0.0000
Li2 0.0150 0.6629 0.3371
Li3 0.3371 0.9850 0.0150
Li4 0.6629 0.0150 0.9850
Li5 0.9850 0.3371 0.6629
Cd1 0.3333 0.6667 0.3333
Cd2 0.6667 0.3333 0.6667
In1 0.3223 0.3223 0.6777
In2 0.6777 0.6777 0.3223

Peak list (10 most intense, 10° ≤ 2θ ≤ 80°, most intense first)
two_theta  d (Å)  Rel. int.
38.0  2.371  100
21.6  4.122  70
21.7  4.097  49
38.2  2.357  30
37.7  2.384  23
68.3  1.374  22
38.4  2.346  20
54.6  1.681  15
43.9  2.061  15
54.9  1.672  14

(6)
# Rb2Ge4Pt3
Simulated PXRD pattern, λ = 1.5418 Å (Cu Kα). Input: DFT lattice parameters and positions (PBE).
No peak broadening, texture or thermal motion is included.

Cell and atoms:
abc: 8.7423 7.5511 6.2389
angles: 78.05 57.67 44.28
Positions (direct):
Rb1 0.1422 0.1422 0.8578
Rb2 0.8578 0.8578 0.1422
Ge1 0.2016 0.5417 0.4583
Ge2 0.4583 0.7984 0.2016
Ge3 0.5417 0.2016 0.7984
Ge4 0.7984 0.4583 0.5417
Pt1 0.0000 0.0000 0.5000
Pt2 0.5000 0.5000 0.0000
Pt3 0.5000 0.5000 0.5000

Peak list (10 most intense, 10° ≤ 2θ ≤ 80°, most intense first)
two_theta  d (Å)  Rel. int.
12.9  6.875  100
35.7  2.515  57
34.8  2.579  45
33.1  2.703  42
42.5  2.125  39
52.3  1.748  29
17.6  5.033  25
59.2  1.560  25
39.0  2.312  21
25.5  3.496  17

(7)
# Pm5In2Ir2
Simulated PXRD pattern, λ = 1.5418 Å (Cu Kα). Input: DFT lattice parameters and positions (PBE).
No peak broadening, texture or thermal motion is included.

Cell and atoms:
abc: 9.0047 9.0047 8.1882
angles: 90.00 90.00 49.03
Positions (direct):
Pm1 0.0000 0.0000 0.0000
Pm2 0.0510 0.7122 0.6789
Pm3 0.2122 0.5510 0.1789
Pm4 0.2878 0.9490 0.6789
Pm5 0.4490 0.7878 0.1789
Pm6 0.5000 0.5000 0.5000
Pm7 0.5510 0.2122 0.8211
Pm8 0.7122 0.0510 0.3211
Pm9 0.7878 0.4490 0.8211
Pm10 0.9490 0.2878 0.3211
In1 0.2183 0.2183 0.0000
In2 0.2817 0.2817 0.5000
In3 0.7183 0.7183 0.5000
In4 0.7817 0.7817 0.0000
Ir1 0.1254 0.8746 0.3747
Ir2 0.3746 0.6254 0.8747
Ir3 0.6254 0.3746 0.1253
Ir4 0.8746 0.1254 0.6253

Peak list (10 most intense, 10° ≤ 2θ ≤ 80°, most intense first)
two_theta  d (Å)  Rel. int.
34.3  2.616  100
10.8  8.193  92
32.4  2.760  81
29.8  3.000  75
35.4  2.533  62
30.9  2.896  59
37.1  2.421  58
38.2  2.358  48
64.4  1.447  31
44.2  2.048  28

(8)
# AcY3Au2
Simulated PXRD pattern, λ = 1.5418 Å (Cu Kα). Input: DFT lattice parameters and positions (PBE).
No peak broadening, texture or thermal motion is included.

Cell and atoms:
abc: 5.0397 9.1560 7.4522
angles: 90.00 90.00 90.00
Positions (direct):
Ac1 0.0000 0.0784 0.0000
Ac2 0.0000 0.9216 0.5000
Y1 0.0000 0.3377 0.6322
Y2 0.0000 0.6623 0.1322
Y3 0.5000 0.1799 0.3411
Y4 0.5000 0.4294 0.9696
Y5 0.5000 0.5706 0.4696
Y6 0.5000 0.8201 0.8411
Au1 0.0000 0.3582 0.2432
Au2 0.0000 0.6418 0.7432
Au3 0.5000 0.1608 0.7334
Au4 0.5000 0.8392 0.2334

Peak list (10 most intense, 10° ≤ 2θ ≤ 80°, most intense first)
two_theta  d (Å)  Rel. int.
31.4  2.848  100
28.9  3.085  58
35.6  2.520  52
34.4  2.611  51
23.4  3.798  35
22.8  3.901  26
41.3  2.184  25
42.3  2.138  23
66.2  1.412  22
55.7  1.650  21

(9)
# MnSnTe2
Simulated PXRD pattern, λ = 1.5418 Å (Cu Kα). Input: DFT lattice parameters and positions (PBE).
No peak broadening, texture or thermal motion is included.

Cell and atoms:
abc: 3.7366 3.7366 28.5755
angles: 90.00 90.00 120.00
Positions (direct):
Mn1 0.0000 0.0000 0.0000
Mn2 0.3333 0.6667 0.6667
Mn3 0.6667 0.3333 0.3333
Sn1 0.0000 0.0000 0.5000
Sn2 0.3333 0.6667 0.1667
Sn3 0.6667 0.3333 0.8333
Te1 0.0000 0.0000 0.3893
Te2 0.0000 0.0000 0.6107
Te3 0.3333 0.6667 0.0560
Te4 0.3333 0.6667 0.2774
Te5 0.6667 0.3333 0.7226
Te6 0.6667 0.3333 0.9440

Peak list (10 most intense, 10° ≤ 2θ ≤ 80°, most intense first)
two_theta  d (Å)  Rel. int.
27.7  3.215  100
37.5  2.398  92
28.3  3.156  73
42.2  2.142  69
48.7  1.868  59
57.2  1.610  51
28.1  3.175  49
31.8  2.816  31
79.2  1.210  28
63.1  1.474  20

(10)
# BiS5Cl
Simulated PXRD pattern, λ = 1.5418 Å (Cu Kα). Input: DFT lattice parameters and positions (PBE).
No peak broadening, texture or thermal motion is included.

Cell and atoms:
abc: 4.1440 22.8265 4.6654
angles: 90.00 98.75 90.00
Positions (direct):
Bi1 0.0000 0.0000 0.0000
Bi2 0.5000 0.5000 0.0000
S1 0.0000 0.2238 0.0000
S2 0.0293 0.5708 0.7190
S3 0.1666 0.2789 0.6906
S4 0.3334 0.7789 0.3094
S5 0.4707 0.0708 0.2810
S6 0.5000 0.7238 0.0000
S7 0.5293 0.0708 0.7190
S8 0.6666 0.7789 0.6906
S9 0.8334 0.2789 0.3094
S10 0.9707 0.5708 0.2810
Cl1 0.0000 0.9327 0.5000
Cl2 0.5000 0.4327 0.5000

Peak list (10 most intense, 10° ≤ 2θ ≤ 80°, most intense first)
two_theta  d (Å)  Rel. int.
15.5  5.707  100
24.7  3.607  61
29.3  3.048  48
24.8  3.587  44
37.1  2.424  39
22.0  4.031  37
20.8  4.275  37
33.3  2.687  35
42.1  2.146  33
30.5  2.935  33

(11)
# NaPa4O10
Simulated PXRD pattern, λ = 1.5418 Å (Cu Kα). Input: DFT lattice parameters and positions (PBE).
No peak broadening, texture or thermal motion is included.

Cell and atoms:
abc: 6.6282 6.6282 6.6282
angles: 99.62 99.62 131.74
Positions (direct):
Na1 0.0000 0.0000 0.0000
Pa1 0.2041 0.3971 0.6012
Pa2 0.3971 0.7959 0.1931
Pa3 0.6029 0.2041 0.8069
Pa4 0.7959 0.6029 0.3988
O1 0.0499 0.3645 0.8904
O2 0.1595 0.0499 0.6853
O3 0.2500 0.7500 0.5000
O4 0.3645 0.4742 0.3147
O5 0.4742 0.1595 0.1096
O6 0.5258 0.8405 0.8904
O7 0.6355 0.5258 0.6853
O8 0.7500 0.2500 0.5000
O9 0.8405 0.9501 0.3147
O10 0.9501 0.6355 0.1096

Peak list (10 most intense, 10° ≤ 2θ ≤ 80°, most intense first)
two_theta  d (Å)  Rel. int.
28.6  3.125  100
47.5  1.914  51
56.4  1.632  46
33.1  2.707  35
76.7  1.242  19
19.4  4.578  13
59.1  1.563  10
79.1  1.211  10
14.6  6.049  9
20.8  4.277  7

(12)
# Cs2CrMo
Simulated PXRD pattern, λ = 1.5418 Å (Cu Kα). Input: DFT lattice parameters and positions (PBE).
No peak broadening, texture or thermal motion is included.

Cell and atoms:
abc: 8.6704 8.6704 8.6704
angles: 90.00 90.00 90.00
Positions (direct):
Cs1 0.2500 0.2500 0.2500
Cs2 0.2500 0.2500 0.7500
Cs3 0.2500 0.7500 0.2500
Cs4 0.2500 0.7500 0.7500
Cs5 0.7500 0.2500 0.2500
Cs6 0.7500 0.2500 0.7500
Cs7 0.7500 0.7500 0.2500
Cs8 0.7500 0.7500 0.7500
Cr1 0.0000 0.0000 0.0000
Cr2 0.0000 0.5000 0.5000
Cr3 0.5000 0.0000 0.5000
Cr4 0.5000 0.5000 0.0000
Mo1 0.0000 0.0000 0.5000
Mo2 0.0000 0.5000 0.0000
Mo3 0.5000 0.0000 0.0000
Mo4 0.5000 0.5000 0.5000

Peak list (10 most intense, 10° ≤ 2θ ≤ 80°, most intense first)
two_theta  d (Å)  Rel. int.
29.1  3.065  100
51.6  1.770  39
41.7  2.168  18
68.4  1.371  16
60.4  1.533  12
20.5  4.335  8
76.1  1.251  4
46.9  1.939  4
35.9  2.503  3
17.7  5.006  2

(13)
# LiAg2RuRh
Simulated PXRD pattern, λ = 1.5418 Å (Cu Kα). Input: DFT lattice parameters and positions (PBE).
No peak broadening, texture or thermal motion is included.

Cell and atoms:
abc: 4.9872 4.9872 4.2189
angles: 90.00 90.00 90.00
Positions (direct):
Li1 0.0000 0.0000 0.0000
Ag1 0.0000 0.5000 0.5000
Ag2 0.5000 0.0000 0.5000
Ru1 0.5000 0.5000 0.0000
Rh1 0.0000 0.0000 0.5000

Peak list (10 most intense, 10° ≤ 2θ ≤ 80°, most intense first)
two_theta  d (Å)  Rel. int.
36.0  2.494  100
27.7  3.221  87
33.1  2.706  68
21.1  4.219  51
57.2  1.610  50
46.0  1.972  43
51.9  1.763  34
69.5  1.353  33
42.1  2.147  33
42.9  2.109  30